This entry pairs a crystal structure of Na4Ac3ErO8 with its computed powder diffractogram. Radiation: CuKα. Structure: the PBE geometry in Alexandria.

Crystal structure
Lattice parameters (Å, degrees): 7.110 7.110 7.110 62.95 62.95 62.95
Fractional positions:
Na1 0.000 0.000 0.000
Na2 0.000 0.500 0.500
Na3 0.500 0.000 0.500
Na4 0.500 0.500 0.000
Ac1 0.000 0.000 0.500
Ac2 0.000 0.500 0.000
Ac3 0.500 0.000 0.000
Er1 0.500 0.500 0.500
O1 0.241 0.241 0.241
O2 0.260 0.727 0.727
O3 0.273 0.273 0.740
O4 0.273 0.740 0.273
O5 0.727 0.260 0.727
O6 0.727 0.727 0.260
O7 0.740 0.273 0.273
O8 0.759 0.759 0.759

Most intense lines, 10 to 80 degrees two-theta, by angle:
Position (°2θ), I/Imax
15.6, 100
28.2, 67
29.7, 72
35.0, 83
38.5, 28
49.1, 31
51.5, 27
51.8, 29
59.5, 23
61.7, 26

---

This entry pairs a crystal structure of Zr4FeIr with its computed powder diffractogram. Radiation: CuKα. Structure: the PBE geometry in Alexandria.

Crystal structure
Lattice parameters (Å, degrees): 7.356 7.356 7.356 36.85 36.85 36.85
Fractional positions:
Zr1 0.120 0.120 0.120
Zr2 0.370 0.370 0.370
Zr3 0.630 0.630 0.630
Zr4 0.880 0.880 0.880
Fe1 0.000 0.000 0.000
Ir1 0.500 0.500 0.500

Most intense lines, 10 to 80 degrees two-theta, by angle:
Position (°2θ), I/Imax
22.5, 15
23.7, 57
26.0, 15
38.7, 100
41.7, 78
47.3, 18
58.2, 29
70.1, 17
72.1, 30
78.1, 15

---

This entry pairs a crystal structure of Ru2Rh4W with its computed powder diffractogram. Radiation: CuKα. Structure: the PBE geometry in Alexandria.

Crystal structure
Lattice parameters (Å, degrees): 4.549 8.955 5.207 90.00 92.66 90.00
Fractional positions:
Ru1 0.234 0.041 0.429
Ru2 0.234 0.459 0.929
Ru3 0.766 0.541 0.071
Ru4 0.766 0.959 0.571
Rh1 0.026 0.163 0.962
Rh2 0.026 0.337 0.462
Rh3 0.464 0.735 0.803
Rh4 0.464 0.765 0.303
Rh5 0.536 0.235 0.697
Rh6 0.536 0.265 0.197
Rh7 0.974 0.663 0.538
Rh8 0.974 0.837 0.038
W1 0.500 0.000 0.000
W2 0.500 0.500 0.500

Most intense lines, 10 to 80 degrees two-theta, by angle:
Position (°2θ), I/Imax
19.5, 24
28.5, 24
34.5, 27
39.7, 65
40.1, 44
40.5, 100
43.9, 51
44.2, 65
45.1, 53
45.4, 46

---

This entry pairs a crystal structure of PmAl6Ag12 with its computed powder diffractogram. Radiation: CuKα. Structure: the PBE geometry in Alexandria.

Crystal structure
Lattice parameters (Å, degrees): 7.470 7.470 7.470 105.03 105.03 105.03
Fractional positions:
Pm1 0.000 0.000 0.000
Al1 0.276 0.276 0.702
Al2 0.276 0.702 0.276
Al3 0.298 0.724 0.724
Al4 0.702 0.276 0.276
Al5 0.724 0.298 0.724
Al6 0.724 0.724 0.298
Ag1 0.117 0.500 0.883
Ag2 0.117 0.883 0.500
Ag3 0.141 0.390 0.390
Ag4 0.390 0.141 0.390
Ag5 0.390 0.390 0.141
Ag6 0.500 0.117 0.883
Ag7 0.500 0.883 0.117
Ag8 0.610 0.610 0.859
Ag9 0.610 0.859 0.610
Ag10 0.859 0.610 0.610
Ag11 0.883 0.117 0.500
Ag12 0.883 0.500 0.117

Most intense lines, 10 to 80 degrees two-theta, by angle:
Position (°2θ), I/Imax
21.6, 18
26.0, 15
33.0, 100
33.6, 55
37.4, 14
39.6, 17
40.0, 30
43.4, 16
44.0, 17
48.8, 37

---

This entry pairs a crystal structure of Pu6AgAu5 with its computed powder diffractogram. Radiation: CuKα. Structure: the PBE geometry in Alexandria.

Crystal structure
Lattice parameters (Å, degrees): 4.974 7.788 8.780 116.24 106.39 90.03
Fractional positions:
Pu1 0.006 0.247 0.013
Pu2 0.326 0.578 0.652
Pu3 0.330 0.074 0.659
Pu4 0.670 0.926 0.341
Pu5 0.674 0.422 0.348
Pu6 0.994 0.753 0.987
Ag1 0.500 0.500 0.000
Au1 0.155 0.665 0.311
Au2 0.166 0.158 0.332
Au3 0.500 0.000 0.000
Au4 0.834 0.842 0.668
Au5 0.845 0.335 0.689

Most intense lines, 10 to 80 degrees two-theta, by angle:
Position (°2θ), I/Imax
34.3, 100
36.1, 44
46.6, 11
52.0, 15
60.3, 15
60.4, 5
63.7, 12
63.8, 21
72.3, 9
78.5, 5

---

This entry pairs a crystal structure of Tm2Mg3Zr2 with its computed powder diffractogram. Radiation: CuKα. Structure: the PBE geometry in Alexandria.

Crystal structure
Lattice parameters (Å, degrees): 16.522 16.522 3.277 90.00 90.00 168.65
Fractional positions:
Tm1 0.201 0.799 0.000
Tm2 0.799 0.201 0.000
Mg1 0.064 0.936 0.000
Mg2 0.500 0.500 0.500
Mg3 0.936 0.064 0.000
Zr1 0.368 0.632 0.500
Zr2 0.632 0.368 0.500

Most intense lines, 10 to 80 degrees two-theta, by angle:
Position (°2θ), I/Imax
27.8, 37
29.3, 37
30.5, 71
32.7, 34
33.4, 100
35.0, 88
38.8, 31
39.0, 44
39.8, 64
58.0, 54

---

This entry pairs a crystal structure of Sr2ZnReN4 with its computed powder diffractogram. Radiation: CuKα. Structure: the PBE geometry in Alexandria.

Crystal structure
Lattice parameters (Å, degrees): 5.812 7.348 6.149 90.00 90.00 90.00
Fractional positions:
Sr1 0.250 0.002 0.245
Sr2 0.250 0.498 0.245
Sr3 0.750 0.502 0.755
Sr4 0.750 0.998 0.755
Zn1 0.250 0.250 0.773
Zn2 0.750 0.750 0.227
Re1 0.250 0.750 0.801
Re2 0.750 0.250 0.199
N1 0.004 0.250 0.018
N2 0.250 0.532 0.650
N3 0.250 0.968 0.650
N4 0.496 0.250 0.018
N5 0.504 0.750 0.982
N6 0.750 0.032 0.350
N7 0.750 0.468 0.350
N8 0.996 0.750 0.982

Most intense lines, 10 to 80 degrees two-theta, by angle:
Position (°2θ), I/Imax
18.8, 15
19.5, 14
29.0, 29
30.8, 33
32.3, 100
42.8, 26
53.6, 18
55.7, 22
67.6, 13
71.8, 12

---

This entry pairs a crystal structure of TmCd3Pt4 with its computed powder diffractogram. Radiation: CuKα. Structure: the PBE geometry in Alexandria.

Crystal structure
Lattice parameters (Å, degrees): 9.711 6.027 4.975 90.00 90.00 90.00
Fractional positions:
Tm1 0.000 0.000 0.000
Tm2 0.500 0.000 0.000
Cd1 0.000 0.500 0.000
Cd2 0.250 0.000 0.412
Cd3 0.250 0.500 0.400
Cd4 0.500 0.500 0.000
Cd5 0.750 0.000 0.588
Cd6 0.750 0.500 0.600
Pt1 0.000 0.253 0.500
Pt2 0.000 0.747 0.500
Pt3 0.250 0.257 0.895
Pt4 0.250 0.743 0.895
Pt5 0.500 0.253 0.500
Pt6 0.500 0.747 0.500
Pt7 0.750 0.257 0.105
Pt8 0.750 0.743 0.105

Most intense lines, 10 to 80 degrees two-theta, by angle:
Position (°2θ), I/Imax
36.1, 30
37.0, 37
37.3, 15
39.6, 100
46.0, 8
52.7, 12
61.6, 9
68.5, 20
74.1, 10
76.4, 11

---

This entry pairs a crystal structure of Al4GaAg8 with its computed powder diffractogram. Radiation: CuKα. Structure: the PBE geometry in Alexandria.

Crystal structure
Lattice parameters (Å, degrees): 4.670 2.997 16.183 90.00 98.28 90.00
Fractional positions:
Al1 0.000 0.000 0.000
Al2 0.145 0.000 0.290
Al3 0.372 0.500 0.742
Al4 0.770 0.500 0.541
Ga1 0.616 0.500 0.234
Ag1 0.073 0.500 0.147
Ag2 0.218 0.500 0.437
Ag3 0.295 0.000 0.590
Ag4 0.447 0.000 0.891
Ag5 0.523 0.500 0.046
Ag6 0.693 0.000 0.387
Ag7 0.848 0.000 0.695
Ag8 0.926 0.500 0.850

Most intense lines, 10 to 80 degrees two-theta, by angle:
Position (°2θ), I/Imax
23.6, 27
30.3, 17
34.3, 21
38.6, 45
40.9, 100
41.4, 50
66.2, 15
71.3, 18
77.3, 19
79.3, 18

---

This entry pairs a crystal structure of La3RuBr with its computed powder diffractogram. Radiation: CuKα. Structure: the PBE geometry in Alexandria.

Crystal structure
Lattice parameters (Å, degrees): 9.468 9.468 7.605 94.76 94.76 72.59
Fractional positions:
La1 0.006 0.632 0.342
La2 0.030 0.779 0.905
La3 0.221 0.970 0.595
La4 0.293 0.385 0.067
La5 0.368 0.994 0.158
La6 0.385 0.293 0.567
La7 0.615 0.707 0.433
La8 0.632 0.006 0.842
La9 0.707 0.615 0.933
La10 0.779 0.030 0.405
La11 0.970 0.221 0.095
La12 0.994 0.368 0.658
Ru1 0.160 0.257 0.362
Ru2 0.257 0.160 0.862
Ru3 0.743 0.840 0.138
Ru4 0.840 0.743 0.638
Br1 0.289 0.711 0.250
Br2 0.373 0.627 0.750
Br3 0.627 0.373 0.250
Br4 0.711 0.289 0.750

Most intense lines, 10 to 80 degrees two-theta, by angle:
Position (°2θ), I/Imax
11.7, 44
23.5, 63
27.5, 49
29.1, 85
29.7, 53
29.9, 100
31.8, 40
33.8, 52
34.1, 35
36.6, 37

---

This entry pairs a crystal structure of LiTbHg6 with its computed powder diffractogram. Radiation: CuKα. Structure: the PBE geometry in Alexandria.

Crystal structure
Lattice parameters (Å, degrees): 5.049 6.553 6.553 60.08 90.00 90.00
Fractional positions:
Li1 0.000 0.000 0.000
Tb1 0.500 0.669 0.669
Hg1 0.000 0.006 0.499
Hg2 0.000 0.499 0.006
Hg3 0.000 0.500 0.500
Hg4 0.500 0.164 0.164
Hg5 0.500 0.164 0.678
Hg6 0.500 0.678 0.164

Most intense lines, 10 to 80 degrees two-theta, by angle:
Position (°2θ), I/Imax
15.6, 7
23.6, 12
31.5, 25
35.6, 23
36.3, 100
48.2, 16
56.1, 19
64.4, 19
68.2, 21
68.7, 16

---

This entry pairs a crystal structure of LiDyNp2As4 with its computed powder diffractogram. Radiation: CuKα. Structure: the PBE geometry in Alexandria.

Crystal structure
Lattice parameters (Å, degrees): 6.991 4.117 7.112 90.00 109.62 90.00
Fractional positions:
Li1 0.000 0.000 0.000
Dy1 0.000 0.500 0.500
Np1 0.500 0.000 0.500
Np2 0.500 0.500 0.000
As1 0.253 0.000 0.752
As2 0.260 0.500 0.253
As3 0.740 0.500 0.747
As4 0.747 0.000 0.248

Most intense lines, 10 to 80 degrees two-theta, by angle:
Position (°2θ), I/Imax
13.4, 37
25.4, 23
26.6, 24
30.9, 100
31.0, 49
44.1, 57
44.7, 55
54.8, 30
72.8, 17
73.7, 17